(1)
This entry pairs a crystal structure of SrSc4B3O12 with its theoretical powder X-ray diffraction pattern. Radiation: Cu Kα (λ = 1.5418 Å). Structure: a cell relaxed with PBE.

Crystal structure
Unit cell a=7.4207 b=7.4207 c=7.4207 alpha=90.00 beta=90.00 gamma=90.00
Space group Im-3 (No. 204)
Asymmetric unit:
Sr 0.0000 0.0000 0.0000 x2
Sc 0.2500 0.2500 0.2500 x8
B 0.0000 0.0000 0.5000 x6
O 0.0000 0.3439 0.1475 x24

Largest 6 diffraction maxima, by angle, 5 to 70 degrees two-theta:
two_theta	intensity	index
16.90	28	1 1 0
34.18	100	2 2 0
38.36	53	3 0 1
45.75	39	3 1 2
61.19	53	4 2 2
63.97	18	4 3 1

(2)
This entry pairs a crystal structure of Sr2Sc2B4O11 with its theoretical powder X-ray diffraction pattern. Radiation: Cu Kα (λ = 1.5418 Å). Structure: a cell relaxed with PBE.

Crystal structure
Unit cell a=5.1277 b=6.3568 c=7.3630 alpha=78.48 beta=89.18 gamma=75.59
Space group P-1 (No. 2)
Asymmetric unit:
Sr 0.2222 0.1954 0.1611 x2
Sc 0.1865 0.2822 0.6454 x2
B 0.2780 0.7806 0.6074 x2
B 0.3540 0.6555 0.1029 x2
O 0.0911 0.6576 0.1342 x2
O 0.1119 0.6438 0.5787 x2
O 0.1714 0.9502 0.7017 x2
O 0.4598 0.2567 0.4414 x2
O 0.4923 0.7945 0.1537 x2
O 0.5000 0.5000 0.0000 x1

Largest 6 diffraction maxima, by angle, 5 to 70 degrees two-theta:
two_theta	intensity	index
20.12	66	1 1 0
25.96	38	1 -1 0
26.11	34	0 1 2
29.65	81	0 2 0
30.09	53	1 0 -2
31.20	100	1 0 2

(3)
This entry pairs a crystal structure of Sc3TlB4O12 with its theoretical powder X-ray diffraction pattern. Radiation: Cu Kα (λ = 1.5418 Å). Structure: a cell relaxed with PBE.

Crystal structure
Unit cell a=9.8584 b=9.8584 c=7.9370 alpha=90.00 beta=90.00 gamma=120.00
Space group R32 (No. 155, hexagonal axes)
Asymmetric unit:
Sc 0.0000 0.5465 0.0000 x9
Tl 0.0000 0.0000 0.0000 x3
B 0.0000 0.0000 0.5000 x3
B 0.0000 0.4571 0.5000 x9
O 0.0000 0.5961 0.5000 x9
O 0.0000 0.8598 0.5000 x9
O 0.0162 0.2078 0.1757 x18

Largest 6 diffraction maxima, by angle, 5 to 70 degrees two-theta:
two_theta	intensity	index
15.24	74	1 0 1
18.00	47	1 1 0
23.67	75	0 2 1
29.89	39	2 1 1
30.76	100	2 0 2
50.62	33	2 2 3